The following is a calculated powder diffraction line list of Ba3HoFe2O9. It was derived from a structure optimized by DFT (PBE+U), using Cu Ka.

Cell and atoms:
```
Ba3HoFe2O9
1.0
5.8471 0.0000 0.0000
-2.9235 5.0637 0.0000
0.0000 0.0000 7.1647
Ba Ho Fe O
3 1 2 9
direct
0.0000 0.0000 0.0000
0.3333 0.6667 0.6770
0.6667 0.3333 0.3230
0.0000 0.0000 0.5000
0.3333 0.6667 0.1643
0.6667 0.3333 0.8357
0.0000 0.5000 0.0000
0.1762 0.3523 0.3176
0.1762 0.8238 0.3176
0.3523 0.1762 0.6824
0.5000 0.0000 0.0000
0.5000 0.5000 0.0000
0.6477 0.8238 0.3176
0.8238 0.1762 0.6824
0.8238 0.6477 0.6824
```

Main lines, in order of rising 2θ (10° ≤ 2θ ≤ 80°):
Position (°2θ)	I/Imax	(hkl)
30.57	1000	1 1 0
37.68	74	0 2 1
43.78	313	2 0 2
54.34	390	3 0 0
63.65	183	2 2 0
72.25	173	3 1 2